# 1
Starting from DFT lattice parameters and positions (PBE), the PXRD pattern of ZnC4S4N2O12 was simulated for Cu Kα, 1.54184 Å.
Peak positions follow from Bragg's law for the DFT cell and can differ from measured ones.

Main lines, in order of rising 2θ (2θ = 10–80°):
Position (°2θ)  I_rel
12.19  45
13.36  100
16.00  32
17.82  42
19.78  66
22.54  42
23.12  31
23.46  69
24.52  38
25.17  53
27.34  36
30.56  36

Atomic structure:
```
ZnC4S4N2O12
1.0
7.806 0.000 0.000
-2.639 7.449 0.000
-0.619 -2.736 9.184
Zn C S N O
1 4 4 2 12
Cartesian
0.000 0.000 0.000
0.440 3.598 7.025
2.345 0.571 5.574
2.203 4.141 3.610
4.108 1.114 2.158
-1.930 2.558 6.515
2.402 1.950 0.044
2.146 2.763 9.140
6.478 2.154 2.668
1.171 3.335 7.928
3.377 1.378 1.256
-1.361 1.261 6.198
-0.683 2.046 1.352
0.872 -0.432 2.185
-0.887 6.200 2.504
1.051 -2.049 8.627
1.731 -0.374 5.374
2.817 5.087 3.810
3.497 6.762 0.556
5.436 -1.487 6.680
3.676 5.145 6.998
5.231 2.666 7.832
5.909 3.452 2.986
```

***

# 2
Starting from DFT lattice parameters and positions (PBE), the PXRD pattern of ThU4O10 was simulated for Cu Kα, 1.54184 Å.
Peak positions follow from Bragg's law for the DFT cell and can differ from measured ones.

Main lines, in order of rising 2θ (2θ = 10–80°):
Position (°2θ)  I_rel
28.28  100
32.77  37
47.02  49
55.78  47
58.50  11
68.61  3
68.73  5
75.87  20
78.19  10
78.26  5

Atomic structure:
```
ThU4O10
1.0
-1.932 1.932 13.678
1.932 -1.932 13.678
1.932 1.932 -13.678
Th U O
1 4 10
Cartesian
0.000 0.000 0.000
0.000 0.000 5.492
0.000 0.000 10.879
0.000 0.000 16.477
0.000 0.000 21.863
1.932 0.000 1.426
1.932 0.000 4.127
1.932 0.000 6.839
1.932 0.000 9.550
1.932 0.000 12.252
0.000 1.932 1.426
0.000 1.932 4.127
0.000 1.932 6.839
0.000 1.932 9.550
0.000 1.932 12.252
```

***

# 3
Starting from DFT lattice parameters and positions (PBE), the PXRD pattern of LiTiPO4 was simulated for Cu Kα, 1.54184 Å.
Peak positions follow from Bragg's law for the DFT cell and can differ from measured ones.

Main lines, in order of rising 2θ (2θ = 10–80°):
Position (°2θ)  I_rel
20.51  65
22.15  37
25.16  66
29.04  65
31.58  25
34.87  100
35.82  32
38.85  27
51.61  41
54.01  32
55.32  24
60.46  22

Atomic structure:
```
LiTiPO4
1.0
10.594 0.000 0.000
0.000 6.150 0.000
0.000 0.000 4.745
Li Ti P O
4 4 4 16
Cartesian
0.000 0.000 0.000
0.000 3.075 0.000
5.297 0.000 2.372
5.297 3.075 2.372
2.344 1.538 2.277
2.953 4.613 4.650
7.641 1.538 0.095
8.250 4.613 2.468
1.000 4.613 1.999
4.297 1.538 4.372
6.296 4.613 0.373
9.594 1.538 2.745
0.431 1.538 3.349
0.998 4.613 3.532
1.753 3.380 1.365
1.753 5.845 1.365
3.544 0.305 3.738
3.544 2.770 3.738
4.299 1.538 1.160
4.866 4.613 0.977
5.728 1.538 3.768
6.295 4.613 3.585
7.050 3.380 1.007
7.050 5.845 1.007
8.841 0.305 3.380
8.841 2.770 3.380
9.596 1.538 1.213
10.163 4.613 1.396
```